This entry pairs a crystal structure of Th2Cd3Au4 with its theoretical powder diffractogram. Radiation: Cu Kα, 1.54184 Å. Structure: the GGA-PBE geometry in Alexandria.
Neutral-atom scattering factors, no anomalous dispersion.

Peak list (10 most intense, 2θ from 5° to 70°, by intensity)
2θ/deg	I_rel
33.2	100.0
36.4	67.1
33.6	45.6
30.6	34.9
35.0	26.6
37.1	20.6
56.1	17.5
54.6	16.9
48.5	14.8
47.3	13.3

Crystal structure
abc: 8.6228 8.6228 8.4836
angles: 90.00 90.00 138.76
Fractional coordinates of all 18 atoms:
Th  0.1144  0.8856  0.9146
Th  0.3856  0.6144  0.4146
Th  0.6144  0.3856  0.5854
Th  0.8856  0.1144  0.0854
Cd  0.0000  0.0000  0.5000
Cd  0.0378  0.4622  0.7500
Cd  0.4622  0.0378  0.2500
Cd  0.5000  0.5000  0.0000
Cd  0.5378  0.9622  0.7500
Cd  0.9622  0.5378  0.2500
Au  0.1821  0.8179  0.5453
Au  0.2119  0.2881  0.7500
Au  0.2881  0.2119  0.2500
Au  0.3179  0.6821  0.0453
Au  0.6821  0.3179  0.9547
Au  0.7119  0.7881  0.7500
Au  0.7881  0.7119  0.2500
Au  0.8179  0.1821  0.4547